Computed PXRD pattern of Ac2PdRhO6 for Cu Kα (weighted mean of Kα1 and Kα2), from a structure optimized by DFT (GGA-PBE).
Neutral-atom scattering factors, no anomalous dispersion.

Largest 8 diffraction maxima, in order of rising 2θ, 2θ from 10° to 90°:
h k l, two_theta, intensity
1 1 1, 30.6, 100
2 0 0, 31.2, 48
2 0 1, 38.0, 15
0 0 2, 43.0, 13
2 2 0, 44.7, 26
2 0 2, 54.1, 23
3 1 1, 55.1, 40
2 2 2, 63.7, 15

Cell and atoms:
```
Ac2PdRhO6
1.0
5.7370 0.0000 0.0000
0.0000 5.7370 0.0000
0.0000 0.0000 4.2077
Ac Pd Rh O
2 1 1 6
Cartesian
0.0000 2.8685 0.0000
2.8685 0.0000 0.0000
0.0000 0.0000 2.2548
2.8685 2.8685 2.2315
0.0000 0.0000 0.1911
1.4532 1.4532 2.5432
1.4532 4.2838 2.5432
2.8685 2.8685 0.2085
4.2838 1.4532 2.5432
4.2838 4.2838 2.5432
```